This entry pairs a crystal structure of BaZn3Ga2 with its calculated powder X-ray diffraction pattern. Radiation: Cu Kα, 1.54184 Å. Structure: the PBE geometry in Alexandria.
No peak broadening, texture or thermal motion is included.

The 8 most intense peaks (2θ = 5–70°), low angle first:
2theta	Rel. int.
30.58	27
32.42	100
32.74	41
34.76	63
36.18	23
41.19	48
41.97	18
60.31	23

Structural model:
abc: 9.036 9.036 7.297
angles: 113.65 113.65 28.07
Atoms (fractional coordinates):
Ba (0.112, 0.112, 0.135)
Ba (0.888, 0.888, 0.865)
Zn (0.076, 0.076, 0.618)
Zn (0.313, 0.313, 0.114)
Zn (0.335, 0.335, 0.492)
Zn (0.665, 0.665, 0.508)
Zn (0.687, 0.687, 0.886)
Zn (0.924, 0.924, 0.382)
Ga (0.235, 0.235, 0.715)
Ga (0.495, 0.495, 0.300)
Ga (0.505, 0.505, 0.700)
Ga (0.765, 0.765, 0.285)